1.
This entry pairs a crystal structure of NaSmMn4O12 with its theoretical X-ray diffraction stick pattern. Radiation: Cu Kα X-rays. Structure: a DFT-relaxed cell (GGA+U, Alexandria).
Lines closer than 0.1° are merged.

Structure:
```
data_NaSmMn4O12
_chemical_formula_sum 'Na1 Sm1 Mn4 O12'
_space_group_name_H-M_alt 'P 1'
_space_group_IT_number 1
_cell_length_a 5.3195
_cell_length_b 5.3195
_cell_length_c 7.5927
_cell_angle_alpha 90.00
_cell_angle_beta 90.00
_cell_angle_gamma 90.00
loop_
_space_group_symop_operation_xyz
'x,y,z'
loop_
_atom_site_label
_atom_site_fract_x
_atom_site_fract_y
_atom_site_fract_z
Na1 0.0000 0.0000 0.0000
Sm1 0.5000 0.5000 0.5000
Mn1 0.0000 0.5000 0.2432
Mn2 0.0000 0.5000 0.7568
Mn3 0.5000 0.0000 0.2432
Mn4 0.5000 0.0000 0.7568
O1 0.0000 0.5000 0.0000
O2 0.0000 0.5000 0.5000
O3 0.2598 0.2598 0.2667
O4 0.2598 0.2598 0.7333
O5 0.2598 0.7402 0.2667
O6 0.2598 0.7402 0.7333
O7 0.5000 0.0000 0.0000
O8 0.5000 0.0000 0.5000
O9 0.7402 0.2598 0.2667
O10 0.7402 0.2598 0.7333
O11 0.7402 0.7402 0.2667
O12 0.7402 0.7402 0.7333
```

The 10 most intense peaks (2θ from 15° to 90°), in order of rising 2θ:
2θ (°), intensity
16.67, 45
20.38, 98
26.44, 31
33.54, 100
33.70, 50
39.70, 34
47.92, 26
48.40, 52
60.17, 37
70.48, 27



2.
This entry pairs a crystal structure of V3P4WO20 with its theoretical X-ray diffraction stick pattern. Radiation: Cu Kα X-rays. Structure: a DFT-relaxed cell (GGA+U, Alexandria).
Lines closer than 0.1° are merged.

Structure:
```
data_V3P4WO20
_chemical_formula_sum 'V3 P4 W1 O20'
_space_group_name_H-M_alt 'P 1'
_space_group_IT_number 1
_cell_length_a 6.2166
_cell_length_b 4.4835
_cell_length_c 12.4416
_cell_angle_alpha 90.00
_cell_angle_beta 90.00
_cell_angle_gamma 90.00
loop_
_space_group_symop_operation_xyz
'x,y,z'
loop_
_atom_site_label
_atom_site_fract_x
_atom_site_fract_y
_atom_site_fract_z
V1 0.0000 0.0000 0.0000
V2 0.5001 0.4307 0.2467
V3 0.4999 0.4307 0.7533
P1 0.0018 0.7117 0.2461
P2 0.5000 0.7040 0.5000
P3 0.5000 0.7202 0.0000
P4 0.9982 0.7117 0.7539
W1 0.0000 0.0005 0.5000
O1 0.0000 0.3591 0.0000
O2 0.0000 0.3907 0.5000
O3 0.0336 0.9198 0.6510
O4 0.0354 0.9222 0.1505
O5 0.1968 0.5189 0.7672
O6 0.1989 0.5226 0.2706
O7 0.2990 0.9195 0.9831
O8 0.3043 0.9216 0.4824
O9 0.4608 0.5191 0.5991
O10 0.4636 0.5217 0.0987
O11 0.4998 0.0696 0.2491
O12 0.5002 0.0696 0.7509
O13 0.5364 0.5217 0.9013
O14 0.5392 0.5191 0.4009
O15 0.6957 0.9216 0.5176
O16 0.7010 0.9195 0.0169
O17 0.8011 0.5226 0.7294
O18 0.8032 0.5189 0.2328
O19 0.9646 0.9222 0.8495
O20 0.9664 0.9198 0.3490
```

The 10 most intense peaks (2θ from 15° to 90°), in order of rising 2θ:
2θ (°), intensity
15.94, 17
20.19, 21
24.48, 100
28.43, 46
28.71, 77
45.41, 21
46.16, 17
48.38, 27
50.70, 15
62.86, 26